Record 1
# Ba3Sr5Ti7MnO24
Computed powder X-ray diffraction pattern, Cu Kα. Input: a GGA+U-relaxed structure.
Peak positions follow from Bragg's law for the DFT cell and can differ from measured ones.

Cell and atoms:
Cell lengths 7.948, 7.948, 7.946 Å; angles 90.01, 90.01, 89.99 degrees
Element x y z (fractional)
Ba  0.000  0.000  0.000
Ba  0.000  0.503  0.000
Ba  0.503  0.000  0.000
Sr  0.000  0.000  0.503
Sr  0.000  0.504  0.503
Sr  0.503  0.503  0.000
Sr  0.504  0.000  0.503
Sr  0.504  0.504  0.503
Ti  0.253  0.253  0.256
Ti  0.253  0.253  0.747
Ti  0.253  0.750  0.256
Ti  0.254  0.750  0.748
Ti  0.750  0.253  0.256
Ti  0.750  0.254  0.748
Ti  0.750  0.750  0.258
Mn  0.751  0.751  0.749
O  0.001  0.253  0.260
O  0.001  0.253  0.743
O  0.001  0.751  0.260
O  0.253  0.001  0.260
O  0.253  0.001  0.743
O  0.253  0.253  0.502
O  0.253  0.750  0.502
O  0.255  0.255  0.001
O  0.255  0.502  0.257
O  0.255  0.502  0.746
O  0.255  0.748  0.001
O  0.502  0.255  0.257
O  0.502  0.255  0.746
O  0.502  0.748  0.257
O  0.505  0.748  0.746
O  0.747  0.747  0.998
O  0.748  0.255  0.001
O  0.748  0.502  0.257
O  0.748  0.505  0.746
O  0.750  0.253  0.502
O  0.751  0.001  0.260
O  0.751  0.751  0.504
O  0.751  0.998  0.743
O  0.998  0.751  0.743

Principal peaks in the range 10 to 80 degrees two-theta, low angle first:
11.1°, 7.946 Å, intensity 2.3
22.4°, 3.974 Å, intensity 8.6
25.1°, 3.554 Å, intensity 2.5
31.8°, 2.810 Å, intensity 100.0
33.8°, 2.649 Å, intensity 1.6
39.3°, 2.294 Å, intensity 22.1
45.7°, 1.987 Å, intensity 37.9
51.4°, 1.777 Å, intensity 5.2
56.7°, 1.622 Å, intensity 38.0
66.6°, 1.405 Å, intensity 21.9
71.2°, 1.325 Å, intensity 3.1
75.7°, 1.257 Å, intensity 16.3

---

Record 2
# BaSr7Ti6Mn2O24
Computed powder X-ray diffraction pattern, Cu Kα. Input: a GGA+U-relaxed structure.
Peak positions follow from Bragg's law for the DFT cell and can differ from measured ones.

Cell and atoms:
Cell lengths 7.925, 7.868, 7.868 Å; angles 90.02, 90.00, 90.00 degrees
Element x y z (fractional)
Ba  0.000  0.000  0.000
Sr  0.000  0.505  0.505
Sr  0.000  0.505  0.999
Sr  0.000  0.999  0.505
Sr  0.500  0.505  0.505
Sr  0.500  0.505  0.999
Sr  0.500  0.999  0.505
Sr  0.500  0.999  0.999
Ti  0.251  0.253  0.253
Ti  0.251  0.254  0.751
Ti  0.251  0.751  0.254
Ti  0.749  0.253  0.253
Ti  0.749  0.254  0.751
Ti  0.749  0.751  0.254
Mn  0.251  0.752  0.752
Mn  0.749  0.752  0.752
O  0.000  0.255  0.255
O  0.000  0.255  0.749
O  0.000  0.748  0.748
O  0.000  0.749  0.255
O  0.251  0.253  0.503
O  0.251  0.503  0.253
O  0.251  0.504  0.751
O  0.251  0.751  0.504
O  0.253  0.000  0.749
O  0.253  0.001  0.255
O  0.253  0.255  0.001
O  0.253  0.749  0.000
O  0.500  0.253  0.253
O  0.500  0.253  0.751
O  0.500  0.751  0.253
O  0.500  0.751  0.751
O  0.747  0.000  0.749
O  0.747  0.001  0.255
O  0.747  0.255  0.001
O  0.747  0.749  0.000
O  0.749  0.253  0.503
O  0.749  0.503  0.253
O  0.749  0.504  0.751
O  0.749  0.751  0.504

Principal peaks in the range 10 to 80 degrees two-theta, low angle first:
22.6°, 3.934 Å, intensity 4.5
32.1°, 2.792 Å, intensity 100.0
32.2°, 2.782 Å, intensity 49.5
39.6°, 2.277 Å, intensity 30.0
45.8°, 1.981 Å, intensity 20.1
46.1°, 1.967 Å, intensity 39.1
57.1°, 1.614 Å, intensity 19.0
57.3°, 1.608 Å, intensity 37.4
67.0°, 1.396 Å, intensity 22.7
67.3°, 1.391 Å, intensity 11.2
76.0°, 1.252 Å, intensity 8.2
76.5°, 1.245 Å, intensity 16.0

---

Record 3
# BaSr7Ti5Mn3O24
Computed powder X-ray diffraction pattern, Cu Kα. Input: a GGA+U-relaxed structure.
Peak positions follow from Bragg's law for the DFT cell and can differ from measured ones.

Cell and atoms:
Cell lengths 7.883, 7.883, 7.832 Å; angles 90.02, 90.02, 89.99 degrees
Element x y z (fractional)
Ba  0.000  0.000  0.000
Sr  0.000  0.000  0.508
Sr  0.000  0.503  0.508
Sr  0.503  0.000  0.508
Sr  0.503  0.503  0.509
Sr  0.503  0.503  0.999
Sr  0.503  0.999  0.999
Sr  0.999  0.503  0.999
Ti  0.253  0.253  0.255
Ti  0.253  0.253  0.752
Ti  0.253  0.750  0.256
Ti  0.750  0.253  0.256
Ti  0.750  0.750  0.256
Mn  0.252  0.750  0.753
Mn  0.750  0.252  0.753
Mn  0.750  0.750  0.753
O  0.001  0.255  0.257
O  0.001  0.748  0.257
O  0.002  0.746  0.748
O  0.252  0.252  0.505
O  0.252  0.503  0.753
O  0.252  0.750  0.506
O  0.253  0.502  0.255
O  0.254  0.254  0.002
O  0.255  0.001  0.257
O  0.255  0.747  0.001
O  0.255  0.999  0.750
O  0.500  0.750  0.753
O  0.501  0.750  0.255
O  0.502  0.253  0.255
O  0.503  0.252  0.753
O  0.746  0.002  0.748
O  0.747  0.255  0.001
O  0.747  0.747  0.002
O  0.748  0.001  0.257
O  0.750  0.252  0.506
O  0.750  0.500  0.753
O  0.750  0.501  0.255
O  0.750  0.750  0.506
O  0.999  0.255  0.750

Principal peaks in the range 10 to 80 degrees two-theta, low angle first:
22.6°, 3.942 Å, intensity 4.1
32.1°, 2.787 Å, intensity 50.6
32.2°, 2.778 Å, intensity 100.0
39.7°, 2.271 Å, intensity 28.9
46.1°, 1.971 Å, intensity 39.8
46.4°, 1.958 Å, intensity 19.4
57.3°, 1.607 Å, intensity 37.9
57.5°, 1.602 Å, intensity 18.6
67.2°, 1.394 Å, intensity 11.4
67.4°, 1.389 Å, intensity 22.4
76.4°, 1.246 Å, intensity 16.3
76.9°, 1.239 Å, intensity 7.9

---

Record 4
# Ba2Sr6Ti7MnO24
Computed powder X-ray diffraction pattern, Cu Kα. Input: a GGA+U-relaxed structure.
Peak positions follow from Bragg's law for the DFT cell and can differ from measured ones.

Cell and atoms:
Cell lengths 7.915, 7.915, 7.908 Å; angles 90.00, 90.00, 90.04 degrees
Element x y z (fractional)
Ba  0.249  0.249  0.000
Ba  0.751  0.751  0.000
Sr  0.248  0.248  0.503
Sr  0.249  0.751  0.000
Sr  0.249  0.751  0.503
Sr  0.751  0.249  0.000
Sr  0.751  0.249  0.503
Sr  0.752  0.752  0.503
Ti  0.000  0.000  0.256
Ti  0.000  0.500  0.254
Ti  0.000  0.500  0.749
Ti  0.500  0.000  0.254
Ti  0.500  0.000  0.749
Ti  0.500  0.500  0.254
Ti  0.500  0.500  0.749
Mn  0.000  0.000  0.750
O  0.000  0.000  0.505
O  0.000  0.000  0.997
O  0.000  0.500  0.001
O  0.000  0.500  0.502
O  0.002  0.751  0.256
O  0.003  0.754  0.747
O  0.246  0.997  0.747
O  0.249  0.502  0.747
O  0.249  0.998  0.256
O  0.250  0.502  0.256
O  0.498  0.750  0.256
O  0.498  0.751  0.747
O  0.500  0.000  0.001
O  0.500  0.000  0.502
O  0.500  0.500  0.001
O  0.500  0.500  0.502
O  0.502  0.249  0.747
O  0.502  0.250  0.256
O  0.750  0.498  0.256
O  0.751  0.002  0.256
O  0.751  0.498  0.747
O  0.754  0.003  0.747
O  0.997  0.246  0.747
O  0.998  0.249  0.256

Principal peaks in the range 10 to 80 degrees two-theta, low angle first:
11.2°, 7.909 Å, intensity 1.0
15.8°, 5.597 Å, intensity 1.2
19.4°, 4.568 Å, intensity 1.6
22.5°, 3.956 Å, intensity 6.8
32.0°, 2.798 Å, intensity 100.0
39.4°, 2.284 Å, intensity 21.5
45.9°, 1.978 Å, intensity 38.8
51.7°, 1.769 Å, intensity 4.3
57.0°, 1.615 Å, intensity 37.8
66.9°, 1.399 Å, intensity 22.4
71.5°, 1.319 Å, intensity 2.6
76.1°, 1.251 Å, intensity 16.3

---

Please write out number 1 again, unchanged.
# Ba3Sr5Ti7MnO24
Computed powder X-ray diffraction pattern, Cu Kα. Input: a GGA+U-relaxed structure.
Peak positions follow from Bragg's law for the DFT cell and can differ from measured ones.

Cell and atoms:
Cell lengths 7.948, 7.948, 7.946 Å; angles 90.01, 90.01, 89.99 degrees
Element x y z (fractional)
Ba  0.000  0.000  0.000
Ba  0.000  0.503  0.000
Ba  0.503  0.000  0.000
Sr  0.000  0.000  0.503
Sr  0.000  0.504  0.503
Sr  0.503  0.503  0.000
Sr  0.504  0.000  0.503
Sr  0.504  0.504  0.503
Ti  0.253  0.253  0.256
Ti  0.253  0.253  0.747
Ti  0.253  0.750  0.256
Ti  0.254  0.750  0.748
Ti  0.750  0.253  0.256
Ti  0.750  0.254  0.748
Ti  0.750  0.750  0.258
Mn  0.751  0.751  0.749
O  0.001  0.253  0.260
O  0.001  0.253  0.743
O  0.001  0.751  0.260
O  0.253  0.001  0.260
O  0.253  0.001  0.743
O  0.253  0.253  0.502
O  0.253  0.750  0.502
O  0.255  0.255  0.001
O  0.255  0.502  0.257
O  0.255  0.502  0.746
O  0.255  0.748  0.001
O  0.502  0.255  0.257
O  0.502  0.255  0.746
O  0.502  0.748  0.257
O  0.505  0.748  0.746
O  0.747  0.747  0.998
O  0.748  0.255  0.001
O  0.748  0.502  0.257
O  0.748  0.505  0.746
O  0.750  0.253  0.502
O  0.751  0.001  0.260
O  0.751  0.751  0.504
O  0.751  0.998  0.743
O  0.998  0.751  0.743

Principal peaks in the range 10 to 80 degrees two-theta, low angle first:
11.1°, 7.946 Å, intensity 2.3
22.4°, 3.974 Å, intensity 8.6
25.1°, 3.554 Å, intensity 2.5
31.8°, 2.810 Å, intensity 100.0
33.8°, 2.649 Å, intensity 1.6
39.3°, 2.294 Å, intensity 22.1
45.7°, 1.987 Å, intensity 37.9
51.4°, 1.777 Å, intensity 5.2
56.7°, 1.622 Å, intensity 38.0
66.6°, 1.405 Å, intensity 21.9
71.2°, 1.325 Å, intensity 3.1
75.7°, 1.257 Å, intensity 16.3